Diffraction record for KRbPtSe2. The X-ray powder pattern is simulated, not measured: it uses a DFT-relaxed cell (PBE, OQMD) and copper Kα.
Peak positions follow from Bragg's law for the DFT cell and can differ from measured ones.

Main lines, by angle (10 to 90 degrees two-theta):
- hkl 0 1 1, 2θ 14.7, intensity 96
- hkl 0 0 2, 2θ 17.5, intensity 58
- hkl 0 1 3, 2θ 29.0, intensity 61
- hkl 1 1 2, 2θ 31.6, intensity 60
- hkl 1 2 1, 2θ 34.6, intensity 100
- hkl 1 2 5, 2θ 57.0, intensity 46

```
data_KRbPtSe2
_chemical_formula_sum 'K2 Rb2 Pt2 Se4'
_cell_length_a 3.8299
_cell_length_b 7.5182
_cell_length_c 10.1224
_cell_angle_alpha 90.00
_cell_angle_beta 90.00
_cell_angle_gamma 90.00
_symmetry_space_group_name_H-M 'I m m 2'
_symmetry_Int_Tables_number 44
_symmetry_space_group_name_Hall 'I 2 -2'
loop_
_atom_site_label
_atom_site_type_symbol
_atom_site_fract_x
_atom_site_fract_y
_atom_site_fract_z
K1 K 0.0000 0.0000 0.0000
Rb1 Rb 0.0000 0.0000 0.3970
Pt1 Pt 0.0000 0.5000 0.1997
Se1 Se 0.0000 0.2164 0.6997
```

Diffraction record for Ag2Ir2SeS3. The X-ray powder pattern is simulated, not measured: it uses a DFT-relaxed cell (PBE, OQMD) and copper Kα.
Peak positions follow from Bragg's law for the DFT cell and can differ from measured ones.

Main lines, by angle (10 to 90 degrees two-theta):
- hkl 1 1 1, 2θ 28.1, intensity 94
- hkl 3 1 -1, 2θ 28.3, intensity 100
- hkl 0 2 0, 2θ 28.7, intensity 23
- hkl 2 2 -2, 2θ 42.7, intensity 46
- hkl 4 2 0, 2θ 48.2, intensity 30
- hkl 1 3 1, 2θ 50.6, intensity 36

```
data_Ag2Ir2SeS3
_chemical_formula_sum 'Ag4 Ir4 Se2 S6'
_cell_length_a 11.1001
_cell_length_b 6.2157
_cell_length_c 5.7982
_cell_angle_alpha 90.00
_cell_angle_beta 121.07
_cell_angle_gamma 90.00
_symmetry_space_group_name_H-M 'C 1 2 1'
_symmetry_Int_Tables_number 5
_symmetry_space_group_name_Hall 'C 2y'
loop_
_atom_site_label
_atom_site_type_symbol
_atom_site_fract_x
_atom_site_fract_y
_atom_site_fract_z
Ag1 Ag 0.1241 0.0000 0.3531
Ir1 Ir 0.1435 0.4796 0.8995
Se1 Se 0.0000 0.6970 0.5000
S1 S 0.0000 0.2972 0.0000
S2 S 0.2487 0.2330 0.7788
```